Simulated powder X-ray diffraction pattern of DyYH4 for Cu Kα, 1.54184 Å, from a GGA-PBE-relaxed structure.

Largest 6 diffraction maxima, by angle, 10 to 90 degrees two-theta:
hkl	2θ/deg	d_spacing	intensity
1 1 2	29.83	2.995	100.0
0 0 4	34.37	2.609	16.3
2 0 0	34.69	2.586	31.9
2 0 4	49.63	1.837	24.9
1 1 6	58.78	1.571	14.4
3 1 2	59.20	1.561	28.3

Structural model:
```
data_DyYH4
_chemical_formula_sum 'Dy4 Y4 H16'
_cell_length_a 5.172
_cell_length_b 5.172
_cell_length_c 10.437
_cell_angle_alpha 90.00
_cell_angle_beta 90.00
_cell_angle_gamma 90.00
_symmetry_space_group_name_H-M 'I 41/a m d'
_symmetry_Int_Tables_number 141
loop_
_symmetry_equiv_pos_as_xyz
'x,y,z'
'-x,-y,-z'
'-y+1/4,x+3/4,z+1/4'
'y+1/4,-x+3/4,-z+1/4'
'-x+1/2,-y,z+1/2'
'x+1/2,y,-z+1/2'
'y+1/4,-x+1/4,z+3/4'
'-y+1/4,x+1/4,-z+3/4'
'x,-y,-z'
'-x,y,z'
'-y+1/4,-x+1/4,-z+3/4'
'y+1/4,x+1/4,z+3/4'
'-x+1/2,y,-z+1/2'
'x+1/2,-y,z+1/2'
'y+1/4,x+3/4,-z+1/4'
'-y+1/4,-x+3/4,z+1/4'
'x+1/2,y+1/2,z+1/2'
'-x+1/2,-y+1/2,-z+1/2'
'-y+3/4,x+1/4,z+3/4'
'y+3/4,-x+1/4,-z+3/4'
'-x,-y+1/2,z'
'x,y+1/2,-z'
'y+3/4,-x+3/4,z+1/4'
'-y+3/4,x+3/4,-z+1/4'
'x+1/2,-y+1/2,-z+1/2'
'-x+1/2,y+1/2,z+1/2'
'-y+3/4,-x+3/4,-z+1/4'
'y+3/4,x+3/4,z+1/4'
'-x,y+1/2,-z'
'x,-y+1/2,z'
'y+3/4,x+1/4,-z+3/4'
'-y+3/4,-x+1/4,z+3/4'
loop_
_atom_site_label
_atom_site_fract_x
_atom_site_fract_y
_atom_site_fract_z
Dy1 0.000 0.250 0.375
Y1 0.000 0.250 0.875
H1 0.249 0.000 0.500
```

***

Simulated powder X-ray diffraction pattern of CaYTlP2 for Cu Kα, 1.54184 Å, from a GGA-PBE-relaxed structure.

Largest 6 diffraction maxima, by angle, 10 to 90 degrees two-theta:
hkl	2θ/deg	d_spacing	intensity
1 0 0	16.71	5.305	35.6
1 1 0	23.72	3.751	100.0
2 0 0	33.79	2.652	48.7
1 1 2	41.71	2.166	46.4
2 2 0	48.54	1.876	34.4
3 1 2	65.88	1.418	24.3

Structural model:
```
data_CaYTlP2
_chemical_formula_sum 'Ca1 Y1 Tl1 P2'
_cell_length_a 5.308
_cell_length_b 5.308
_cell_length_c 5.299
_cell_angle_alpha 90.00
_cell_angle_beta 90.00
_cell_angle_gamma 90.00
_symmetry_space_group_name_H-M 'P 4/m m m'
_symmetry_Int_Tables_number 123
_symmetry_space_group_name_Hall '-P 4 2'
loop_
_atom_site_label
_atom_site_fract_x
_atom_site_fract_y
_atom_site_fract_z
Ca1 0.000 0.000 0.000
Y1 0.500 0.500 0.000
Tl1 0.000 0.000 0.500
P1 0.000 0.500 0.500
```

***

Simulated powder X-ray diffraction pattern of Tb5Y12Tm2 for Cu Kα, 1.54184 Å, from a GGA-PBE-relaxed structure.

Largest 6 diffraction maxima, by angle, 10 to 90 degrees two-theta:
hkl	2θ/deg	d_spacing	intensity
1 0 -3	29.30	3.049	46.5
0 3 1	31.05	2.880	70.0
1 -1 3	32.20	2.780	100.0
1 2 4	32.51	2.754	51.9
2 -1 0	32.78	2.732	47.4
3 1 4	49.63	1.837	18.5

Structural model:
```
data_Tb5Y12Tm2
_chemical_formula_sum 'Tb5 Y12 Tm2'
_cell_length_a 6.277
_cell_length_b 8.847
_cell_length_c 12.062
_cell_angle_alpha 70.06
_cell_angle_beta 79.99
_cell_angle_gamma 78.51
_symmetry_space_group_name_H-M 'P -1'
_symmetry_Int_Tables_number 2
_symmetry_space_group_name_Hall '-P 1'
loop_
_atom_site_label
_atom_site_fract_x
_atom_site_fract_y
_atom_site_fract_z
Tb1 0.000 0.000 0.000
Tb2 0.215 0.327 0.009
Tb3 0.371 0.836 0.505
Y1 0.084 0.128 0.661
Y2 0.163 0.207 0.327
Y3 0.247 0.462 0.708
Y4 0.263 0.603 0.143
Y5 0.310 0.738 0.833
Y6 0.460 0.929 0.170
Tm1 0.250 0.501 0.434
```

***

Simulated powder X-ray diffraction pattern of Ac2Ni3 for Cu Kα, 1.54184 Å, from a GGA-PBE-relaxed structure.

Largest 6 diffraction maxima, by angle, 10 to 90 degrees two-theta:
hkl	2θ/deg	d_spacing	intensity
0 4 1	25.32	3.518	53.0
1 3 1	31.93	2.803	100.0
1 7 0	32.18	2.782	64.3
1 5 1	34.86	2.574	34.5
2 0 0	43.13	2.097	25.8
1 7 2	54.93	1.671	28.7

Structural model:
```
data_Ac2Ni3
_chemical_formula_sum 'Ac8 Ni12'
_cell_length_a 4.195
_cell_length_b 26.017
_cell_length_c 4.182
_cell_angle_alpha 90.00
_cell_angle_beta 90.00
_cell_angle_gamma 90.00
_symmetry_space_group_name_H-M 'C m c m'
_symmetry_Int_Tables_number 63
_symmetry_space_group_name_Hall '-C 2c 2'
loop_
_atom_site_label
_atom_site_fract_x
_atom_site_fract_y
_atom_site_fract_z
Ac1 0.000 0.068 0.250
Ac2 0.000 0.198 0.750
Ni1 0.000 0.334 0.750
Ni2 0.000 0.385 0.250
Ni3 0.000 0.477 0.250
```

***

Simulated powder X-ray diffraction pattern of BeZn2Au for Cu Kα, 1.54184 Å, from a GGA-PBE-relaxed structure.

Largest 6 diffraction maxima, by angle, 10 to 90 degrees two-theta:
hkl	2θ/deg	d_spacing	intensity
0 1 0	18.35	4.835	73.7
1 0 1	28.17	3.168	100.0
0 2 0	37.21	2.417	75.3
1 1 -2	42.53	2.126	73.0
0 1 2	43.44	2.083	78.2
1 -2 1	44.24	2.047	66.2

Structural model:
```
data_BeZn2Au
_chemical_formula_sum 'Be2 Zn4 Au2'
_cell_length_a 4.810
_cell_length_b 4.871
_cell_length_c 4.926
_cell_angle_alpha 95.27
_cell_angle_beta 98.03
_cell_angle_gamma 94.03
_symmetry_space_group_name_H-M 'P 1'
_symmetry_Int_Tables_number 1
_symmetry_space_group_name_Hall 'P 1'
loop_
_atom_site_label
_atom_site_fract_x
_atom_site_fract_y
_atom_site_fract_z
Be1 0.000 0.000 0.000
Be2 0.270 0.833 0.441
Zn1 0.238 0.590 0.897
Zn2 0.325 0.333 0.353
Zn3 0.707 0.626 0.687
Zn4 0.831 0.549 0.191
Au1 0.473 0.110 0.872
Au2 0.837 0.079 0.446
```

***

Simulated powder X-ray diffraction pattern of CaHN for Cu Kα, 1.54184 Å, from a GGA-PBE-relaxed structure.

Largest 6 diffraction maxima, by angle, 10 to 90 degrees two-theta:
hkl	2θ/deg	d_spacing	intensity
0 2 0	27.87	3.201	23.4
2 0 0	28.25	3.159	35.7
1 0 1	30.20	2.959	68.4
2 2 0	40.11	2.248	60.3
1 2 1	41.56	2.173	100.0
3 0 1	51.25	1.783	31.8

Structural model:
```
data_CaHN
_chemical_formula_sum 'Ca4 H4 N4'
_cell_length_a 6.317
_cell_length_b 6.402
_cell_length_c 3.350
_cell_angle_alpha 90.00
_cell_angle_beta 90.00
_cell_angle_gamma 90.00
_symmetry_space_group_name_H-M 'P n m a'
_symmetry_Int_Tables_number 62
_symmetry_space_group_name_Hall '-P 2ac 2n'
loop_
_atom_site_label
_atom_site_fract_x
_atom_site_fract_y
_atom_site_fract_z
Ca1 0.000 0.000 0.000
H1 0.248 0.250 0.273
N1 0.169 0.750 0.503
```

***

Simulated powder X-ray diffraction pattern of CePm5Pb5 for Cu Kα, 1.54184 Å, from a GGA-PBE-relaxed structure.

Largest 6 diffraction maxima, by angle, 10 to 90 degrees two-theta:
hkl	2θ/deg	d_spacing	intensity
2 0 2	27.91	3.197	100.0
6 0 0	39.21	2.298	13.6
2 2 2	39.87	2.261	52.5
6 2 0	48.80	1.866	14.9
2 2 -4	49.94	1.826	13.7
0 4 0	57.67	1.599	13.5

Structural model:
```
data_CePm5Pb5
_chemical_formula_sum 'Ce2 Pm10 Pb10'
_cell_length_a 14.485
_cell_length_b 6.399
_cell_length_c 8.896
_cell_angle_alpha 90.00
_cell_angle_beta 107.87
_cell_angle_gamma 90.00
_symmetry_space_group_name_H-M 'C 1 2/m 1'
_symmetry_Int_Tables_number 12
_symmetry_space_group_name_Hall '-C 2y'
loop_
_atom_site_label
_atom_site_fract_x
_atom_site_fract_y
_atom_site_fract_z
Ce1 0.000 0.000 0.000
Pm1 0.000 0.000 0.500
Pm2 0.168 0.500 0.334
Pm3 0.168 0.500 0.834
Pb1 0.000 0.500 0.000
Pb2 0.163 0.000 0.830
Pb3 0.164 0.000 0.333
```

***

Simulated powder X-ray diffraction pattern of Pu4TcGe4 for Cu Kα, 1.54184 Å, from a GGA-PBE-relaxed structure.

Largest 6 diffraction maxima, by angle, 10 to 90 degrees two-theta:
hkl	2θ/deg	d_spacing	intensity
1 0 1	18.54	4.785	22.8
2 1 1	28.36	3.147	73.4
0 0 2	30.62	2.919	72.2
1 3 0	33.94	2.641	100.0
3 2 1	41.96	2.153	29.6
1 3 2	46.36	1.959	85.0

Structural model:
```
data_Pu4TcGe4
_chemical_formula_sum 'Pu8 Tc2 Ge8'
_cell_length_a 8.353
_cell_length_b 8.353
_cell_length_c 5.839
_cell_angle_alpha 90.00
_cell_angle_beta 90.00
_cell_angle_gamma 90.00
_symmetry_space_group_name_H-M 'I 4/m'
_symmetry_Int_Tables_number 87
_symmetry_space_group_name_Hall '-I 4'
loop_
_atom_site_label
_atom_site_fract_x
_atom_site_fract_y
_atom_site_fract_z
Pu1 0.089 0.245 0.000
Tc1 0.000 0.000 0.500
Ge1 0.064 0.294 0.500
```

***

Simulated powder X-ray diffraction pattern of NaEr2Pb5 for Cu Kα, 1.54184 Å, from a GGA-PBE-relaxed structure.

Largest 6 diffraction maxima, by angle, 10 to 90 degrees two-theta:
hkl	2θ/deg	d_spacing	intensity
2 2 0	31.92	2.804	56.4
2 0 2	33.43	2.680	100.0
4 0 0	45.77	1.983	21.2
4 2 2	57.85	1.594	42.7
2 2 4	60.70	1.526	18.5
4 0 4	70.24	1.340	12.1

Structural model:
```
data_NaEr2Pb5
_chemical_formula_sum 'Na2 Er4 Pb10'
_cell_length_a 7.930
_cell_length_b 7.930
_cell_length_c 7.274
_cell_angle_alpha 90.00
_cell_angle_beta 90.00
_cell_angle_gamma 90.00
_symmetry_space_group_name_H-M 'I 4 m m'
_symmetry_Int_Tables_number 107
_symmetry_space_group_name_Hall 'I 4 -2'
loop_
_atom_site_label
_atom_site_fract_x
_atom_site_fract_y
_atom_site_fract_z
Na1 0.000 0.000 0.000
Er1 0.000 0.500 0.001
Pb1 0.000 0.000 0.501
Pb2 0.250 0.250 0.251
```

***

Simulated powder X-ray diffraction pattern of Tb6RhSe2S3 for Cu Kα, 1.54184 Å, from a GGA-PBE-relaxed structure.

Largest 6 diffraction maxima, by angle, 10 to 90 degrees two-theta:
hkl	2θ/deg	d_spacing	intensity
3 1 0	27.43	3.252	27.6
6 0 0	31.37	2.851	50.8
1 1 -2	31.56	2.835	100.0
5 1 2	45.02	2.014	36.6
7 1 -2	45.17	2.007	36.3
6 2 0	56.61	1.626	19.0

Structural model:
```
data_Tb6RhSe2S3
_chemical_formula_sum 'Tb12 Rh2 Se4 S6'
_cell_length_a 17.567
_cell_length_b 3.958
_cell_length_c 8.126
_cell_angle_alpha 90.00
_cell_angle_beta 103.12
_cell_angle_gamma 90.00
_symmetry_space_group_name_H-M 'C 1 2/m 1'
_symmetry_Int_Tables_number 12
_symmetry_space_group_name_Hall '-C 2y'
loop_
_atom_site_label
_atom_site_fract_x
_atom_site_fract_y
_atom_site_fract_z
Tb1 0.003 0.000 0.261
Tb2 0.162 0.500 0.093
Tb3 0.164 0.500 0.573
Rh1 0.000 0.500 0.500
Se1 0.168 0.000 0.838
S1 0.000 0.500 0.000
S2 0.171 0.000 0.334
```

***

Simulated powder X-ray diffraction pattern of SiO2 for Cu Kα, 1.54184 Å, from a GGA-PBE-relaxed structure.

Largest 6 diffraction maxima, by angle, 10 to 90 degrees two-theta:
hkl	2θ/deg	d_spacing	intensity
1 1 0	13.60	6.513	100.0
2 0 0	17.97	4.935	28.9
0 1 1	19.99	4.441	66.7
1 2 1	28.35	3.148	27.2
3 1 0	29.03	3.076	27.0
3 2 1	38.51	2.338	8.0

Structural model:
```
data_SiO2
_chemical_formula_sum 'Si8 O16'
_cell_length_a 9.871
_cell_length_b 8.668
_cell_length_c 5.172
_cell_angle_alpha 90.00
_cell_angle_beta 90.00
_cell_angle_gamma 90.00
_symmetry_space_group_name_H-M 'I m a 2'
_symmetry_Int_Tables_number 46
_symmetry_space_group_name_Hall 'I 2 -2a'
loop_
_atom_site_label
_atom_site_fract_x
_atom_site_fract_y
_atom_site_fract_z
Si1 0.091 0.151 0.000
O1 0.000 0.000 0.057
O2 0.056 0.216 0.713
O3 0.250 0.103 0.020
```

***

Simulated powder X-ray diffraction pattern of CuPt for Cu Kα, 1.54184 Å, from a GGA-PBE-relaxed structure.

Largest 6 diffraction maxima, by angle, 10 to 90 degrees two-theta:
hkl	2θ/deg	d_spacing	intensity
1 1 0	14.86	5.960	20.0
2 0 -2	40.82	2.211	100.0
4 0 0	40.97	2.203	32.7
2 0 2	47.15	1.928	22.1
3 3 -1	47.73	1.906	42.0
5 3 -3	84.07	1.151	15.8

Structural model:
```
data_CuPt
_chemical_formula_sum 'Cu12 Pt12'
_cell_length_a 8.935
_cell_length_b 8.092
_cell_length_c 4.713
_cell_angle_alpha 90.00
_cell_angle_beta 99.55
_cell_angle_gamma 90.00
_symmetry_space_group_name_H-M 'C 1 c 1'
_symmetry_Int_Tables_number 9
_symmetry_space_group_name_Hall 'C -2yc'
loop_
_atom_site_label
_atom_site_fract_x
_atom_site_fract_y
_atom_site_fract_z
Cu1 0.000 0.079 0.000
Cu2 0.242 0.083 0.750
Cu3 0.498 0.252 0.010
Pt1 0.243 0.240 0.249
Pt2 0.255 0.413 0.755
Pt3 0.492 0.087 0.509
```